(1)
Starting from a PBE-relaxed structure, the PXRD pattern of KSrCd2 was computed for Cu Kα, 1.54184 Å.

Largest 10 diffraction maxima, sorted by position, 5° ≤ 2θ ≤ 70°:
| 2θ (°) | I (rel.) |
| --- | --- |
| 19.38 | 13 |
| 29.88 | 100 |
| 30.13 | 5 |
| 32.53 | 20 |
| 35.64 | 31 |
| 49.02 | 24 |
| 51.29 | 10 |
| 56.40 | 16 |
| 60.50 | 25 |
| 62.07 | 11 |

Atomic structure:
abc: 5.038 5.038 11.010
angles: 90.00 90.00 90.00
Atoms (fractional coordinates):
K: 0.000 0.000 0.000
K: 0.500 0.500 0.500
Sr: 0.000 0.500 0.750
Sr: 0.500 0.000 0.250
Cd: 0.000 0.000 0.500
Cd: 0.000 0.500 0.250
Cd: 0.500 0.000 0.750
Cd: 0.500 0.500 0.000

=====

(2)
Starting from a PBE-relaxed structure, the PXRD pattern of Cs2CI7 was computed for Cu Kα, 1.54184 Å.

Largest 10 diffraction maxima, sorted by position, 5° ≤ 2θ ≤ 70°:
| 2θ (°) | I (rel.) |
| --- | --- |
| 22.47 | 14 |
| 25.96 | 100 |
| 26.06 | 36 |
| 31.91 | 75 |
| 39.38 | 12 |
| 41.63 | 39 |
| 45.73 | 18 |
| 45.91 | 10 |
| 53.36 | 42 |
| 66.69 | 12 |

Atomic structure:
abc: 8.846 8.846 8.846
angles: 126.70 126.70 78.74
Atoms (fractional coordinates):
Cs: 0.250 0.750 0.500
Cs: 0.750 0.250 0.500
C: 0.000 0.000 0.000
I: 0.206 0.206 0.000
I: 0.227 0.227 0.455
I: 0.227 0.773 0.000
I: 0.500 0.500 0.000
I: 0.773 0.227 0.000
I: 0.773 0.773 0.545
I: 0.794 0.794 0.000